Computed powder diffractogram
Compound: Te2MoWSeS
Radiation: Cu Kα (weighted mean of Kα1 and Kα2)
Structure: a PBE-relaxed structure

Structure:
```
Te2MoWSeS
1.0
3.398 0.000 0.000
-1.699 2.943 0.000
0.000 0.000 39.182
Te Mo W Se S
4 2 2 2 2
Direct
0.000 0.000 0.000
0.000 0.000 0.096
0.333 0.667 0.811
0.333 0.667 0.907
0.000 0.000 0.235
0.000 0.000 0.859
0.333 0.667 0.048
0.333 0.667 0.423
0.000 0.000 0.381
0.000 0.000 0.466
0.333 0.667 0.197
0.333 0.667 0.274
```

Top 10 peaks for 10 to 90 degrees two-theta, in order of rising 2θ:
- 11.29°, intensity 100.0, (0 0 5)
- 13.56°, intensity 18.5, (0 0 6)
- 30.39°, intensity 42.8, (1 0 0)
- 32.50°, intensity 14.9, (1 0 5)
- 35.59°, intensity 87.2, (0 1 8)
- 38.25°, intensity 14.2, (0 1 10)
- 42.95°, intensity 51.5, (1 0 13)
- 44.68°, intensity 15.2, (0 1 14)
- 53.98°, intensity 31.0, (1 1 0)
- 75.71°, intensity 14.7, (1 1 21)